For ZnSnS3, a DFT-relaxed cell (GGA-PBE, the Materials Project) gives the computed X-ray powder pattern in this record (Cu Kα (weighted mean of Kα1 and Kα2)).
Peak positions follow from Bragg's law for the DFT cell and can differ from measured ones.

Structure:
```
ZnSnS3
1.0
3.2173 1.8575 5.7671
-3.2173 1.8575 5.7671
0.0000 -3.7150 5.7671
Zn Sn S
2 2 6
direct
0.0000 0.0000 0.0000 Zn
0.5000 0.5000 0.5000 Zn
0.2853 0.2853 0.2853 Sn
0.7853 0.7853 0.7853 Sn
0.1017 0.3799 0.6981 S
0.1981 0.8799 0.6017 S
0.3799 0.6981 0.1017 S
0.6017 0.1981 0.8799 S
0.6981 0.1017 0.3799 S
0.8799 0.6017 0.1981 S
```

Largest 10 diffraction maxima, by intensity, 2θ = 10–90°:
2θ/deg	I/Imax
26.08	1000
27.73	680
42.08	610
38.43	530
49.04	506
48.05	503
18.94	419
31.85	312
55.64	218
44.96	177

=====

For Be4InCu, a DFT-relaxed cell (GGA-PBE, the Materials Project) gives the computed X-ray powder pattern in this record (Cu Kα (weighted mean of Kα1 and Kα2)).
Peak positions follow from Bragg's law for the DFT cell and can differ from measured ones.

Structure:
```
Be4InCu
1.0
0.0000 3.1920 3.1920
3.1920 0.0000 3.1920
3.1920 3.1920 0.0000
Be In Cu
4 1 1
direct
0.3763 0.3763 0.3763 Be
0.3763 0.3763 0.8711 Be
0.3763 0.8711 0.3763 Be
0.8711 0.3763 0.3763 Be
0.0000 0.0000 0.0000 In
0.7500 0.7500 0.7500 Cu
```

Largest 10 diffraction maxima, by intensity, 2θ = 10–90°:
2θ/deg	I/Imax
24.15	1000
39.94	916
47.22	695
72.54	290
77.73	203
63.52	197
86.17	119
57.77	113
27.95	79
65.37	29

=====

For GaTe, a DFT-relaxed cell (GGA-PBE, the Materials Project) gives the computed X-ray powder pattern in this record (Cu Kα (weighted mean of Kα1 and Kα2)).
Peak positions follow from Bragg's law for the DFT cell and can differ from measured ones.

Structure:
```
GaTe
1.0
9.1132 -2.0751 0.0000
9.1132 2.0751 0.0000
-3.0694 0.0000 10.3798
Ga Te
6 6
direct
0.0630 0.0630 0.0829 Ga
0.2616 0.2616 0.6977 Ga
0.3610 0.3610 0.5840 Ga
0.6390 0.6390 0.4160 Ga
0.7384 0.7384 0.3023 Ga
0.9370 0.9370 0.9171 Ga
0.0437 0.0437 0.3239 Te
0.3369 0.3369 0.3272 Te
0.3468 0.3468 0.9458 Te
0.6532 0.6532 0.0542 Te
0.6631 0.6631 0.6728 Te
0.9563 0.9563 0.6761 Te
```

Largest 10 diffraction maxima, by intensity, 2θ = 10–90°:
2θ/deg	I/Imax
26.37	1000
25.75	352
22.58	277
43.61	255
40.24	201
41.56	171
42.24	161
47.53	141
33.89	140
11.24	139

=====

For Mg14BSbO16, a DFT-relaxed cell (GGA-PBE, the Materials Project) gives the computed X-ray powder pattern in this record (Cu Kα (weighted mean of Kα1 and Kα2)).
Peak positions follow from Bragg's law for the DFT cell and can differ from measured ones.

Structure:
```
Mg14BSbO16
1.0
8.7140 0.0000 0.0000
0.0000 8.7140 0.0000
0.0000 0.0000 4.3343
Mg B Sb O
14 1 1 16
direct
0.0000 0.2431 0.0000 Mg
0.0000 0.5000 0.5000 Mg
0.0000 0.7569 0.0000 Mg
0.2349 0.5000 0.0000 Mg
0.2373 0.2373 0.5000 Mg
0.2373 0.7627 0.5000 Mg
0.2431 0.0000 0.0000 Mg
0.5000 0.0000 0.5000 Mg
0.5000 0.2349 0.0000 Mg
0.5000 0.7651 0.0000 Mg
0.7569 0.0000 0.0000 Mg
0.7627 0.2373 0.5000 Mg
0.7627 0.7627 0.5000 Mg
0.7651 0.5000 0.0000 Mg
0.0000 0.0000 0.5000 B
0.5000 0.5000 0.5000 Sb
0.0000 0.0000 0.0000 O
0.0000 0.2658 0.5000 O
0.0000 0.5000 0.0000 O
0.0000 0.7342 0.5000 O
0.2394 0.5000 0.5000 O
0.2503 0.2503 0.0000 O
0.2503 0.7497 0.0000 O
0.2658 0.0000 0.5000 O
0.5000 0.0000 0.0000 O
0.5000 0.2394 0.5000 O
0.5000 0.5000 0.0000 O
0.5000 0.7606 0.5000 O
0.7342 0.0000 0.5000 O
0.7497 0.2503 0.0000 O
0.7497 0.7497 0.0000 O
0.7606 0.5000 0.5000 O
```

Largest 10 diffraction maxima, by intensity, 2θ = 10–90°:
2θ/deg	I/Imax
41.45	1000
60.23	571
10.15	510
41.68	509
22.87	461
30.84	381
35.76	280
60.06	278
75.76	253
37.24	126

=====

For Si, a DFT-relaxed cell (GGA-PBE, the Materials Project) gives the computed X-ray powder pattern in this record (Cu Kα (weighted mean of Kα1 and Kα2)).
Peak positions follow from Bragg's law for the DFT cell and can differ from measured ones.

Structure:
```
Si
1.0
-5.0508 5.0508 5.0508
5.0508 -5.0508 5.0508
5.0508 5.0508 -5.0508
Si
23
direct
0.0000 0.0000 0.0000 Si
0.0000 0.0000 0.2713 Si
0.0000 0.2713 0.0000 Si
0.0000 0.2724 0.4415 Si
0.0000 0.4415 0.2724 Si
0.1691 0.7276 0.7276 Si
0.2500 0.5000 0.7500 Si
0.2500 0.7500 0.5000 Si
0.2713 0.0000 0.0000 Si
0.2724 0.0000 0.4415 Si
0.2724 0.4415 0.0000 Si
0.4415 0.0000 0.2724 Si
0.4415 0.2724 0.0000 Si
0.5000 0.2500 0.7500 Si
0.5000 0.7500 0.2500 Si
0.5585 0.5585 0.8309 Si
0.5585 0.8309 0.5585 Si
0.7276 0.1691 0.7276 Si
0.7276 0.7276 0.1691 Si
0.7287 0.7287 0.7287 Si
0.7500 0.2500 0.5000 Si
0.7500 0.5000 0.2500 Si
0.8309 0.5585 0.5585 Si
```

Largest 10 diffraction maxima, by intensity, 2θ = 10–90°:
2θ/deg	I/Imax
33.18	1000
21.55	801
17.56	628
56.13	570
51.15	494
49.42	399
30.66	357
43.91	208
45.80	200
37.78	176

=====

For MgAl4Tl4O12, a DFT-relaxed cell (GGA-PBE, the Materials Project) gives the computed X-ray powder pattern in this record (Cu Kα (weighted mean of Kα1 and Kα2)).
Peak positions follow from Bragg's law for the DFT cell and can differ from measured ones.

Structure:
```
MgAl4Tl4O12
1.0
5.7490 0.0000 0.0000
0.5867 5.8948 0.0000
1.1800 0.5688 8.3468
Mg Al Tl O
1 4 4 12
direct
0.0000 0.0000 0.0000 Mg
0.2859 0.6735 0.7415 Al
0.3159 0.8241 0.3236 Al
0.5196 0.1636 0.7698 Al
0.6411 0.2714 0.3439 Al
0.0882 0.2063 0.6108 Tl
0.1716 0.4015 0.1890 Tl
0.6915 0.6222 0.9952 Tl
0.7899 0.7240 0.5387 Tl
0.0127 0.5642 0.7219 O
0.0435 0.9490 0.4414 O
0.1434 0.7800 0.1569 O
0.2996 0.9504 0.8277 O
0.4171 0.4330 0.8527 O
0.4225 0.7417 0.5434 O
0.4684 0.5328 0.2840 O
0.4692 0.0719 0.2638 O
0.4985 0.2145 0.5606 O
0.8093 0.0695 0.8076 O
0.8714 0.2493 0.1396 O
0.8890 0.4019 0.4200 O
```

Largest 10 diffraction maxima, by intensity, 2θ = 10–90°:
2θ/deg	I/Imax
28.18	1000
30.59	924
31.56	837
33.91	729
35.79	618
20.77	600
32.14	579
22.73	498
25.31	438
36.38	432

=====

For ErNiP, a DFT-relaxed cell (GGA-PBE, the Materials Project) gives the computed X-ray powder pattern in this record (Cu Kα (weighted mean of Kα1 and Kα2)).
Peak positions follow from Bragg's law for the DFT cell and can differ from measured ones.

Structure:
```
ErNiP
1.0
3.8813 0.0000 0.0000
-1.9407 3.3613 0.0000
0.0000 0.0000 15.2888
Er Ni P
4 4 4
direct
0.0000 0.0000 0.0000 Er
0.0000 0.0000 0.2500 Er
0.0000 0.0000 0.5000 Er
0.0000 0.0000 0.7500 Er
0.3333 0.6667 0.1284 Ni
0.3333 0.6667 0.3716 Ni
0.6667 0.3333 0.6284 Ni
0.6667 0.3333 0.8716 Ni
0.3333 0.6667 0.6215 P
0.3333 0.6667 0.8785 P
0.6667 0.3333 0.1215 P
0.6667 0.3333 0.3785 P
```

Largest 10 diffraction maxima, by intensity, 2θ = 10–90°:
2θ/deg	I/Imax
35.57	1000
46.81	342
26.52	318
60.14	215
68.96	208
79.50	192
47.58	107
80.65	91
55.30	90
86.95	57

=====

For Na6Ti3ZnSi2P4O24, a DFT-relaxed cell (GGA-PBE, the Materials Project) gives the computed X-ray powder pattern in this record (Cu Kα (weighted mean of Kα1 and Kα2)).
Peak positions follow from Bragg's law for the DFT cell and can differ from measured ones.

Structure:
```
Na6Ti3ZnSi2P4O24
1.0
8.8735 0.0000 0.0000
-0.0563 8.8966 0.0000
-4.3683 -4.4651 6.3398
Na Ti Zn Si P O
6 3 1 2 4 24
direct
0.0000 0.0000 0.0000 Na
0.0190 0.6573 0.3943 Na
0.2380 0.3908 0.5007 Na
0.4414 0.1307 0.6325 Na
0.4679 0.7838 0.9837 Na
0.7487 0.8933 0.5065 Na
0.3017 0.7411 0.2149 Ti
0.6783 0.5402 0.7949 Ti
0.7934 0.2353 0.2037 Ti
0.1784 0.0411 0.7917 Zn
0.4862 0.8395 0.7005 Si
0.9833 0.9342 0.2920 Si
0.4775 0.1393 0.2908 P
0.4907 0.4349 0.0067 P
0.9806 0.3468 0.9967 P
0.9906 0.6274 0.7080 P
0.1519 0.5190 0.1225 O
0.1657 0.8915 0.2874 O
0.1705 0.6772 0.9152 O
0.2989 0.1010 0.0992 O
0.3067 0.8619 0.7000 O
0.3207 0.2678 0.8616 O
0.4762 0.8272 0.5041 O
0.4805 0.6195 0.1568 O
0.4841 0.9661 0.2983 O
0.5016 0.2948 0.4967 O
0.5063 0.4616 0.8513 O
0.5081 0.6516 0.6891 O
0.6436 0.1792 0.2782 O
0.6658 0.0274 0.9228 O
0.6663 0.4041 0.1417 O
0.8064 0.3830 0.8748 O
0.8069 0.7575 0.0612 O
0.8249 0.5735 0.7106 O
0.9741 0.1187 0.2904 O
0.9783 0.7914 0.6923 O
0.9797 0.4649 0.5147 O
0.9827 0.3464 0.1745 O
0.9844 0.9399 0.4747 O
0.9867 0.1638 0.8506 O
```

Largest 10 diffraction maxima, by intensity, 2θ = 10–90°:
2θ/deg	I/Imax
34.91	1000
19.94	845
31.57	639
23.51	634
31.83	527
19.80	518
23.30	425
14.01	413
31.95	385
30.94	374

=====

For Er2Ge2Ru, a DFT-relaxed cell (GGA-PBE, the Materials Project) gives the computed X-ray powder pattern in this record (Cu Kα (weighted mean of Kα1 and Kα2)).
Peak positions follow from Bragg's law for the DFT cell and can differ from measured ones.

Structure:
```
Er2Ge2Ru
1.0
5.3381 -2.1435 0.0000
5.3381 2.1435 0.0000
-4.7672 0.0000 8.9255
Er Ge Ru
4 4 2
direct
0.0014 0.0014 0.3279 Er
0.1842 0.1842 0.1090 Er
0.8158 0.8158 0.8910 Er
0.9986 0.9986 0.6721 Er
0.3554 0.3554 0.4321 Ge
0.4877 0.4877 0.1244 Ge
0.5123 0.5123 0.8756 Ge
0.6446 0.6446 0.5679 Ge
0.2714 0.2714 0.6278 Ru
0.7286 0.7286 0.3722 Ru
```

Largest 10 diffraction maxima, by intensity, 2θ = 10–90°:
2θ/deg	I/Imax
33.35	1000
40.55	770
36.84	611
34.15	590
42.16	565
32.89	509
33.61	487
40.42	302
59.86	293
64.91	254

=====

For NaHg3, a DFT-relaxed cell (GGA-PBE, the Materials Project) gives the computed X-ray powder pattern in this record (Cu Kα (weighted mean of Kα1 and Kα2)).
Peak positions follow from Bragg's law for the DFT cell and can differ from measured ones.

Structure:
```
NaHg3
1.0
4.7512 0.0000 0.0000
0.0000 4.7512 0.0000
0.0000 0.0000 4.7512
Na Hg
1 3
direct
0.0000 0.0000 0.0000 Na
0.0000 0.5000 0.5000 Hg
0.5000 0.0000 0.5000 Hg
0.5000 0.5000 0.0000 Hg
```

Largest 10 diffraction maxima, by intensity, 2θ = 10–90°:
2θ/deg	I/Imax
32.64	1000
37.87	506
65.12	421
54.64	355
18.68	224
26.53	198
68.40	122
42.55	117
46.84	89
58.26	59